Starting from the PBE geometry in Alexandria, the powder diffraction line list of Sr3Li5 was calculated for λ = 1.5418 Å (Cu Kα).
Intensities are scaled so that the largest is 100.

The 8 most intense peaks (2θ = 5–70°), low angle first:
two_theta	intensity	(hkl)
13.8	44	1 0 0
17.2	38	1 0 -1
21.5	71	1 2 1
22.5	49	1 0 2
24.9	80	0 2 -1
25.5	43	0 2 2
28.3	44	0 0 3
29.3	100	2 2 1

Crystal structure
```
data_Sr3Li5
_chemical_formula_sum 'Sr6 Li10'
_space_group_name_H-M_alt 'P -1'
_space_group_IT_number 2
_cell_length_a 6.7692
_cell_length_b 8.9711
_cell_length_c 9.7526
_cell_angle_alpha 76.89
_cell_angle_beta 82.11
_cell_angle_gamma 71.63
loop_
_space_group_symop_operation_xyz
'x,y,z'
'-x,-y,-z'
loop_
_atom_site_label
_atom_site_fract_x
_atom_site_fract_y
_atom_site_fract_z
Sr1 0.1368 0.0280 0.1740
Sr2 0.2089 0.2611 0.5281
Sr3 0.2096 0.5480 0.1063
Li1 0.2280 0.8790 0.5354
Li2 0.2525 0.5867 0.7237
Li3 0.3717 0.6210 0.3946
Li4 0.3727 0.2349 0.8772
Li5 0.4097 0.8629 0.8204
```